No. 1
This entry pairs a crystal structure of Ba2PdF6 with its simulated XRD peak list. Radiation: Cu Kα. Structure: DFT lattice parameters and positions (PBE).
Intensities are scaled so that the largest is 100.

Largest 6 diffraction maxima, by angle, 2θ from 10° to 90°:
| (hkl) | 2θ (°) | d [Å] | I/Imax |
| --- | --- | --- | --- |
| 3 1 1 | 25.27 | 3.524 | 100.0 |
| 0 2 0 | 28.36 | 3.147 | 24.2 |
| 0 2 2 | 40.54 | 2.225 | 18.3 |
| 6 0 2 | 42.50 | 2.127 | 33.6 |
| 3 3 1 | 48.37 | 1.882 | 33.5 |
| 6 4 0 | 67.75 | 1.383 | 14.6 |

Lattice parameters (Å, degrees): 17.316 6.297 6.291 90.00 90.00 90.00
Space group Cmce (No. 64)
Asymmetric unit:
1 Ba 0.161 0.000 0.000 [8 per cell]
2 Pd 0.000 0.000 0.500 [4 per cell]
3 F 0.083 0.157 0.342 [16 per cell]
4 F 0.250 0.243 0.750 [8 per cell]

No. 2
This entry pairs a crystal structure of Ba2PdF5 with its simulated XRD peak list. Radiation: Cu Kα. Structure: DFT lattice parameters and positions (PBE).
Intensities are scaled so that the largest is 100.

Largest 6 diffraction maxima, by angle, 2θ from 10° to 90°:
| (hkl) | 2θ (°) | d [Å] | I/Imax |
| --- | --- | --- | --- |
| 1 0 1 | 18.60 | 4.770 | 31.1 |
| 2 0 0 | 30.17 | 2.962 | 43.1 |
| 1 1 2 | 30.82 | 2.901 | 100.0 |
| 2 0 2 | 37.71 | 2.385 | 34.7 |
| 2 2 0 | 43.19 | 2.095 | 35.8 |
| 3 1 2 | 53.99 | 1.698 | 40.9 |

Lattice parameters (Å, degrees): 5.925 5.925 8.044 90.00 90.00 90.00
Space group I4mm (No. 107)
Asymmetric unit:
1 Ba 0.000 0.500 0.000 [4 per cell]
2 Pd 0.000 0.000 0.286 [2 per cell]
3 F 0.000 0.000 0.992 [2 per cell]
4 F 0.245 0.245 0.753 [8 per cell]

No. 3
This entry pairs a crystal structure of RbBaPdF6 with its simulated XRD peak list. Radiation: Cu Kα. Structure: DFT lattice parameters and positions (PBE).
Intensities are scaled so that the largest is 100.

Largest 6 diffraction maxima, by angle, 2θ from 10° to 90°:
| (hkl) | 2θ (°) | d [Å] | I/Imax |
| --- | --- | --- | --- |
| 0 1 1 | 13.57 | 6.525 | 62.7 |
| 1 2 1 | 25.05 | 3.555 | 100.0 |
| 2 1 1 | 25.28 | 3.523 | 92.7 |
| 0 2 2 | 27.33 | 3.263 | 60.9 |
| 2 0 2 | 27.62 | 3.230 | 79.0 |
| 2 2 4 | 46.99 | 1.934 | 61.3 |

Lattice parameters (Å, degrees): 8.372 8.517 10.153 90.00 90.00 90.00
Space group Imma (No. 74)
Asymmetric unit:
1 Rb 0.000 0.250 0.083 [4 per cell]
2 Ba 0.000 0.000 0.500 [4 per cell]
3 Pd 0.250 0.250 0.750 [4 per cell]
4 F 0.000 0.250 0.359 [4 per cell]
5 F 0.000 0.250 0.688 [4 per cell]
6 F 0.214 0.086 0.886 [16 per cell]

No. 4
This entry pairs a crystal structure of Rb2BaPdF8 with its simulated XRD peak list. Radiation: Cu Kα. Structure: DFT lattice parameters and positions (PBE).
Intensities are scaled so that the largest is 100.

Largest 6 diffraction maxima, by angle, 2θ from 10° to 90°:
| (hkl) | 2θ (°) | d [Å] | I/Imax |
| --- | --- | --- | --- |
| 1 0 0 | 17.85 | 4.969 | 62.4 |
| 0 1 1 | 21.38 | 4.156 | 34.1 |
| 1 0 2 | 29.65 | 3.013 | 98.3 |
| 1 1 0 | 31.18 | 2.869 | 100.0 |
| 0 2 2 | 43.56 | 2.078 | 60.0 |
| 2 1 2 | 54.53 | 1.683 | 38.0 |

Lattice parameters (Å, degrees): 5.7375 5.7375 7.5800 90.00 90.00 120.00
Space group P-3m1 (No. 164)
Asymmetric unit:
1 Rb 0.3333 0.6667 0.3306 [2 per cell]
2 Ba 0.0000 0.0000 0.0000 [1 per cell]
3 Pd 0.0000 0.0000 0.5000 [1 per cell]
4 F 0.1540 0.3079 0.6628 [6 per cell]
5 F 0.3333 0.6667 0.9890 [2 per cell]

No. 5
This entry pairs a crystal structure of Ba4PuF10 with its simulated XRD peak list. Radiation: Cu Kα. Structure: DFT lattice parameters and positions (PBE).
Intensities are scaled so that the largest is 100.

Largest 6 diffraction maxima, by angle, 2θ from 10° to 90°:
| (hkl) | 2θ (°) | d [Å] | I/Imax |
| --- | --- | --- | --- |
| 2 1 1 | 24.88 | 3.578 | 100.0 |
| 1 3 0 | 28.81 | 3.099 | 27.6 |
| 4 2 0 | 41.20 | 2.191 | 61.3 |
| 5 0 1 | 48.73 | 1.869 | 48.7 |
| 6 3 1 | 65.66 | 1.422 | 20.0 |
| 7 1 2 | 75.09 | 1.265 | 19.2 |

Lattice parameters (Å, degrees): 9.795 9.795 6.204 90.00 90.00 90.00
Space group I4/m (No. 87)
Asymmetric unit:
1 Ba 0.101 0.298 0.000 [8 per cell]
2 Pu 0.000 0.000 0.500 [2 per cell]
3 F 0.000 0.500 0.250 [4 per cell]
4 F 0.096 0.808 0.261 [16 per cell]

No. 6
This entry pairs a crystal structure of Ba2PuS3F3 with its simulated XRD peak list. Radiation: Cu Kα. Structure: DFT lattice parameters and positions (PBE).
Intensities are scaled so that the largest is 100.

Largest 6 diffraction maxima, by angle, 2θ from 10° to 90°:
| (hkl) | 2θ (°) | d [Å] | I/Imax |
| --- | --- | --- | --- |
| 1 1 0 | 24.28 | 3.666 | 100.0 |
| 1 0 1 | 25.67 | 3.470 | 93.0 |
| 2 0 1 | 35.63 | 2.520 | 62.6 |
| 3 0 0 | 42.72 | 2.116 | 38.3 |
| 2 1 1 | 43.58 | 2.077 | 67.5 |
| 2 2 2 | 68.28 | 1.374 | 31.8 |

Lattice parameters (Å, degrees): 7.3318 7.3318 4.1431 90.00 90.00 120.00
Space group P-62m (No. 189)
Asymmetric unit:
1 Ba 0.3333 0.6667 0.0000 [2 per cell]
2 Pu 0.0000 0.0000 0.5000 [1 per cell]
3 S 0.0000 0.3637 0.5000 [3 per cell]
4 F 0.0000 0.7900 0.0000 [3 per cell]